Starting from a structure optimized by DFT (PBE), the X-ray powder pattern of InAgSn was calculated for CuKα.
Kinematic intensities with the Lorentz-polarization factor, no thermal factor.

Cell and atoms:
```
6
Lattice="3.111 0.000 0.000 0.000 6.820 0.000 0.000 0.000 6.794" Properties=species:S:1:pos:R:3 pbc="T T T"
In 0.000 0.712 0.000
In 0.000 6.107 3.397
Ag 1.556 1.593 4.403
Ag 1.556 5.227 1.006
Sn 0.000 2.867 2.111
Sn 0.000 3.953 5.508
```

Top 10 peaks for 5 to 70 degrees two-theta, most intense first:
| Position (°2θ) | d/Å | intensity |
| --- | --- | --- |
| 29.34 | 3.044 | 100.0 |
| 41.50 | 2.176 | 78.9 |
| 34.32 | 2.613 | 68.4 |
| 39.23 | 2.296 | 56.9 |
| 65.45 | 1.426 | 32.6 |
| 42.04 | 2.149 | 31.9 |
| 41.91 | 2.156 | 31.6 |
| 67.63 | 1.385 | 18.6 |
| 37.37 | 2.407 | 18.1 |
| 62.27 | 1.491 | 13.8 |